1.
# K3Na2LiTeO6
Computed X-ray powder pattern, CuKα. Input: a crystal structure in the Materials Project, relaxed with GGA-PBE.
Neutral-atom scattering factors, no anomalous dispersion.

Principal peaks in the range 15° ≤ 2θ ≤ 90°, low angle first:
- hkl 1 1 -1, 17.1 deg, I 100
- hkl 1 1 1, 18.1 deg, I 97
- hkl 2 0 0, 18.9 deg, I 39
- hkl 2 2 0, 24.0 deg, I 55
- hkl 1 3 1, 27.7 deg, I 46
- hkl 0 4 0, 29.7 deg, I 40
- hkl 0 2 2, 29.9 deg, I 62
- hkl 3 3 0, 36.4 deg, I 25
- hkl 3 3 -1, 38.1 deg, I 51
- hkl 1 1 3, 41.9 deg, I 37
- hkl 2 4 -2, 43.6 deg, I 29
- hkl 5 1 -1, 50.1 deg, I 38

Crystal structure
```
data_K3Na2LiTeO6
_symmetry_space_group_name_H-M 'C 1 c 1'
_symmetry_Int_Tables_number 9
_cell_length_a 9.407
_cell_length_b 12.047
_cell_length_c 6.887
_cell_angle_alpha 90.00
_cell_angle_beta 93.74
_cell_angle_gamma 90.00
loop_
_symmetry_equiv_pos_as_xyz
'x,y,z'
'x,-y,z+1/2'
'x+1/2,y+1/2,z'
'x+1/2,-y+1/2,z+1/2'
loop_
_atom_site_label
_atom_site_type_symbol
_atom_site_fract_x
_atom_site_fract_y
_atom_site_fract_z
K1 K 0.000 0.009 0.000
K2 K 0.169 0.453 0.166
K3 K 0.351 0.040 0.985
Na1 Na 0.253 0.216 0.335
Na2 Na 0.450 0.232 0.638
Li1 Li 0.360 0.278 0.989
Te1 Te 0.108 0.257 0.740
O1 O 0.051 0.301 0.466
O2 O 0.164 0.210 0.013
O3 O 0.221 0.132 0.642
O4 O 0.283 0.353 0.754
O5 O 0.434 0.338 0.236
O6 O 0.495 0.120 0.340
```

***

2.
# K2LiNd4Nb2O12
Computed X-ray powder pattern, CuKα. Input: a crystal structure in the Materials Project, relaxed with GGA-PBE.
Neutral-atom scattering factors, no anomalous dispersion.

Principal peaks in the range 15° ≤ 2θ ≤ 90°, low angle first:
- hkl -1 1 1, 26.1 deg, I 54
- hkl 1 1 -2, 28.5 deg, I 100
- hkl 0 2 0, 28.7 deg, I 23
- hkl 1 2 2, 29.6 deg, I 72
- hkl 2 1 0, 31.0 deg, I 34
- hkl 1 0 3, 37.7 deg, I 16
- hkl 0 1 4, 40.4 deg, I 16
- hkl 2 3 0, 42.7 deg, I 33
- hkl 2 -1 1, 46.1 deg, I 19
- hkl 2 0 -4, 51.8 deg, I 12
- hkl 3 0 -1, 52.2 deg, I 12
- hkl 1 -2 3, 58.1 deg, I 13

Crystal structure
```
data_K2LiNd4Nb2O12
_symmetry_space_group_name_H-M 'P 1'
_symmetry_Int_Tables_number 1
_cell_length_a 5.775
_cell_length_b 7.110
_cell_length_c 8.940
_cell_angle_alpha 74.60
_cell_angle_beta 89.86
_cell_angle_gamma 66.04
loop_
_symmetry_equiv_pos_as_xyz
'x,y,z'
loop_
_atom_site_label
_atom_site_type_symbol
_atom_site_fract_x
_atom_site_fract_y
_atom_site_fract_z
K1 K 0.000 0.000 0.000
K2 K 0.288 0.424 0.941
Li1 Li 0.091 0.809 0.788
Nd1 Nd 0.258 0.481 0.345
Nd2 Nd 0.549 0.900 0.213
Nd3 Nd 0.720 0.556 0.606
Nd4 Nd 0.987 0.023 0.448
Nb1 Nb 0.472 0.051 0.700
Nb2 Nb 0.781 0.437 0.112
O1 O 0.133 0.263 0.574
O2 O 0.139 0.198 0.217
O3 O 0.348 0.831 0.691
O4 O 0.373 0.740 0.409
O5 O 0.435 0.645 0.117
O6 O 0.467 0.061 0.906
O7 O 0.599 0.263 0.574
O8 O 0.661 0.198 0.217
O9 O 0.796 0.405 0.905
O10 O 0.814 0.832 0.689
O11 O 0.885 0.739 0.409
O12 O 0.918 0.646 0.116
```

***

3.
# K2LiNd4Nb2O12
Computed X-ray powder pattern, CuKα. Input: a crystal structure in the Materials Project, relaxed with GGA-PBE.
Neutral-atom scattering factors, no anomalous dispersion.

Principal peaks in the range 15° ≤ 2θ ≤ 90°, low angle first:
- hkl 3 1 -1, 26.5 deg, I 64
- hkl 1 1 2, 28.2 deg, I 100
- hkl 4 0 0, 28.9 deg, I 17
- hkl 3 1 -2, 30.4 deg, I 64
- hkl 0 2 0, 30.9 deg, I 34
- hkl 2 0 -4, 41.0 deg, I 13
- hkl 4 2 0, 42.8 deg, I 25
- hkl 2 2 -3, 44.4 deg, I 17
- hkl 4 2 1, 45.9 deg, I 24
- hkl 2 2 -4, 52.2 deg, I 16
- hkl 1 3 2, 53.3 deg, I 16
- hkl 3 3 -2, 54.6 deg, I 14

Crystal structure
```
data_K2LiNd4Nb2O12
_symmetry_space_group_name_H-M 'C 1 2/m 1'
_symmetry_Int_Tables_number 12
_cell_length_a 12.737
_cell_length_b 5.786
_cell_length_c 8.861
_cell_angle_alpha 90.00
_cell_angle_beta 104.05
_cell_angle_gamma 90.00
loop_
_symmetry_equiv_pos_as_xyz
'x,y,z'
'-x,-y,-z'
'-x,y,-z'
'x,-y,z'
'x+1/2,y+1/2,z'
'-x+1/2,-y+1/2,-z'
'-x+1/2,y+1/2,-z'
'x+1/2,-y+1/2,z'
loop_
_atom_site_label
_atom_site_type_symbol
_atom_site_fract_x
_atom_site_fract_y
_atom_site_fract_z
K1 K 0.120 0.000 0.480
Li1 Li 0.000 0.500 0.500
Nd1 Nd 0.082 0.500 0.196
Nd2 Nd 0.127 0.000 0.920
Nb1 Nb 0.173 0.500 0.719
O1 O 0.000 0.247 0.000
O2 O 0.050 0.269 0.701
O3 O 0.163 0.500 0.499
O4 O 0.231 0.239 0.163
```

***

4.
# K2LiNd4Nb2O12
Computed X-ray powder pattern, CuKα. Input: a crystal structure in the Materials Project, relaxed with GGA-PBE.
Neutral-atom scattering factors, no anomalous dispersion.

Principal peaks in the range 15° ≤ 2θ ≤ 90°, low angle first:
- hkl 1 1 -1, 26.6 deg, I 63
- hkl 1 0 2, 28.1 deg, I 100
- hkl 1 -2 2, 30.7 deg, I 43
- hkl 2 -1 0, 31.0 deg, I 30
- hkl 0 2 1, 32.4 deg, I 12
- hkl 0 1 -4, 41.7 deg, I 14
- hkl 2 -3 0, 42.6 deg, I 21
- hkl 2 0 -3, 44.9 deg, I 15
- hkl 2 1 1, 45.5 deg, I 27
- hkl 0 1 4, 47.9 deg, I 12
- hkl 2 -2 4, 52.9 deg, I 14
- hkl 3 -1 2, 53.4 deg, I 20

Crystal structure
```
data_K2LiNd4Nb2O12
_symmetry_space_group_name_H-M 'P 1'
_symmetry_Int_Tables_number 1
_cell_length_a 5.767
_cell_length_b 7.044
_cell_length_c 8.725
_cell_angle_alpha 101.30
_cell_angle_beta 90.01
_cell_angle_gamma 114.12
loop_
_symmetry_equiv_pos_as_xyz
'x,y,z'
loop_
_atom_site_label
_atom_site_type_symbol
_atom_site_fract_x
_atom_site_fract_y
_atom_site_fract_z
K1 K 0.000 0.000 0.000
K2 K 0.206 0.413 0.883
Li1 Li 0.861 0.725 0.748
Nd1 Nd 0.233 0.467 0.360
Nd2 Nd 0.507 0.014 0.223
Nd3 Nd 0.649 0.300 0.617
Nd4 Nd 0.963 0.925 0.479
Nb1 Nb 0.420 0.841 0.719
Nb2 Nb 0.758 0.518 0.120
O1 O 0.070 0.625 0.609
O2 O 0.091 0.727 0.251
O3 O 0.279 0.056 0.720
O4 O 0.335 0.185 0.416
O5 O 0.419 0.307 0.134
O6 O 0.420 0.841 0.937
O7 O 0.551 0.623 0.609
O8 O 0.634 0.727 0.251
O9 O 0.776 0.055 0.719
O10 O 0.777 0.555 0.910
O11 O 0.850 0.185 0.416
O12 O 0.887 0.307 0.134
```

***

5.
# K2LiNd4Nb2O12
Computed X-ray powder pattern, CuKα. Input: a crystal structure in the Materials Project, relaxed with GGA-PBE.
Neutral-atom scattering factors, no anomalous dispersion.

Principal peaks in the range 15° ≤ 2θ ≤ 90°, low angle first:
- hkl 3 1 -1, 26.6 deg, I 57
- hkl 1 1 2, 28.3 deg, I 100
- hkl 4 0 0, 29.5 deg, I 21
- hkl 3 1 -2, 30.1 deg, I 57
- hkl 0 2 0, 30.9 deg, I 36
- hkl 2 0 -4, 40.2 deg, I 13
- hkl 4 2 0, 43.3 deg, I 30
- hkl 2 2 -3, 44.0 deg, I 23
- hkl 4 2 1, 46.5 deg, I 19
- hkl 2 0 4, 48.4 deg, I 11
- hkl 2 2 -4, 51.6 deg, I 15
- hkl 1 3 2, 53.4 deg, I 26

Crystal structure
```
data_K2LiNd4Nb2O12
_symmetry_space_group_name_H-M 'C 1 m 1'
_symmetry_Int_Tables_number 8
_cell_length_a 12.600
_cell_length_b 5.782
_cell_length_c 8.998
_cell_angle_alpha 90.00
_cell_angle_beta 105.81
_cell_angle_gamma 90.00
loop_
_symmetry_equiv_pos_as_xyz
'x,y,z'
'x,-y,z'
'x+1/2,y+1/2,z'
'x+1/2,-y+1/2,z'
loop_
_atom_site_label
_atom_site_type_symbol
_atom_site_fract_x
_atom_site_fract_y
_atom_site_fract_z
K1 K 0.000 0.000 0.000
K2 K 0.242 0.000 0.978
Li1 Li 0.210 0.000 0.653
Nd1 Nd 0.037 0.500 0.292
Nd2 Nd 0.206 0.500 0.684
Nd3 Nd 0.252 0.000 0.386
Nd4 Nd 0.473 0.500 0.545
Nb1 Nb 0.277 0.500 0.186
Nb2 Nb 0.465 0.000 0.782
O1 O 0.072 0.257 0.771
O2 O 0.122 0.235 0.490
O3 O 0.164 0.264 0.189
O4 O 0.290 0.500 0.983
O5 O 0.345 0.225 0.662
O6 O 0.385 0.262 0.306
O7 O 0.451 0.000 0.984
```

***

6.
# K2LiNd4Nb2O12
Computed X-ray powder pattern, CuKα. Input: a crystal structure in the Materials Project, relaxed with GGA-PBE.
Neutral-atom scattering factors, no anomalous dispersion.

Principal peaks in the range 15° ≤ 2θ ≤ 90°, low angle first:
- hkl 3 1 -1, 26.5 deg, I 65
- hkl 1 1 2, 28.2 deg, I 100
- hkl 4 0 0, 28.9 deg, I 17
- hkl 3 1 -2, 30.4 deg, I 64
- hkl 0 2 0, 30.9 deg, I 33
- hkl 2 0 -4, 41.0 deg, I 13
- hkl 4 2 0, 42.8 deg, I 25
- hkl 2 2 -3, 44.4 deg, I 17
- hkl 4 2 1, 45.9 deg, I 24
- hkl 2 2 -4, 52.2 deg, I 16
- hkl 1 3 2, 53.3 deg, I 16
- hkl 3 3 -2, 54.6 deg, I 13

Crystal structure
```
data_K2LiNd4Nb2O12
_symmetry_space_group_name_H-M 'C 1 2 1'
_symmetry_Int_Tables_number 5
_cell_length_a 12.739
_cell_length_b 5.789
_cell_length_c 8.867
_cell_angle_alpha 90.00
_cell_angle_beta 104.01
_cell_angle_gamma 90.00
loop_
_symmetry_equiv_pos_as_xyz
'x,y,z'
'-x,y,-z'
'x+1/2,y+1/2,z'
'-x+1/2,y+1/2,-z'
loop_
_atom_site_label
_atom_site_type_symbol
_atom_site_fract_x
_atom_site_fract_y
_atom_site_fract_z
K1 K 0.121 0.000 0.482
Li1 Li 0.000 0.538 0.500
Nd1 Nd 0.082 0.487 0.196
Nd2 Nd 0.127 0.986 0.921
Nb1 Nb 0.173 0.486 0.719
O1 O 0.000 0.233 0.000
O2 O 0.000 0.739 0.000
O3 O 0.049 0.722 0.700
O4 O 0.051 0.257 0.706
O5 O 0.162 0.493 0.499
O6 O 0.230 0.748 0.164
O7 O 0.231 0.226 0.165
```

***

7.
# K2LiNd4Nb2O12
Computed X-ray powder pattern, CuKα. Input: a crystal structure in the Materials Project, relaxed with GGA-PBE.
Neutral-atom scattering factors, no anomalous dispersion.

Principal peaks in the range 15° ≤ 2θ ≤ 90°, low angle first:
- hkl 1 1 -1, 26.1 deg, I 51
- hkl 1 -2 1, 26.3 deg, I 68
- hkl -1 1 2, 28.3 deg, I 100
- hkl 1 0 2, 28.5 deg, I 100
- hkl 0 2 0, 28.7 deg, I 38
- hkl 1 1 -2, 29.9 deg, I 65
- hkl 1 -2 2, 30.2 deg, I 55
- hkl 2 -1 0, 30.7 deg, I 61
- hkl 0 1 -4, 41.2 deg, I 30
- hkl 2 1 0, 42.4 deg, I 31
- hkl 2 0 -4, 52.0 deg, I 30
- hkl -1 3 3, 57.5 deg, I 26

Crystal structure
```
data_K2LiNd4Nb2O12
_symmetry_space_group_name_H-M 'P 1'
_symmetry_Int_Tables_number 1
_cell_length_a 5.830
_cell_length_b 7.054
_cell_length_c 8.801
_cell_angle_alpha 103.59
_cell_angle_beta 90.53
_cell_angle_gamma 113.93
loop_
_symmetry_equiv_pos_as_xyz
'x,y,z'
loop_
_atom_site_label
_atom_site_type_symbol
_atom_site_fract_x
_atom_site_fract_y
_atom_site_fract_z
K1 K 0.000 0.000 0.000
K2 K 0.275 0.416 0.918
Li1 Li 0.181 0.731 0.053
Nd1 Nd 0.017 0.946 0.528
Nd2 Nd 0.269 0.476 0.400
Nd3 Nd 0.573 0.065 0.278
Nd4 Nd 0.741 0.397 0.671
Nb1 Nb 0.487 0.895 0.761
Nb2 Nb 0.781 0.535 0.180
O1 O 0.153 0.691 0.628
O2 O 0.157 0.781 0.267
O3 O 0.368 0.114 0.754
O4 O 0.397 0.223 0.474
O5 O 0.444 0.312 0.176
O6 O 0.470 0.862 0.970
O7 O 0.608 0.679 0.641
O8 O 0.666 0.752 0.303
O9 O 0.827 0.107 0.756
O10 O 0.852 0.575 0.966
O11 O 0.905 0.221 0.476
O12 O 0.924 0.323 0.182
```

***

8.
# K2LiNd4Nb2O12
Computed X-ray powder pattern, CuKα. Input: a crystal structure in the Materials Project, relaxed with GGA-PBE.
Neutral-atom scattering factors, no anomalous dispersion.

Principal peaks in the range 15° ≤ 2θ ≤ 90°, low angle first:
- hkl 1 1 -1, 26.1 deg, I 63
- hkl 1 0 2, 28.5 deg, I 100
- hkl 0 2 0, 29.0 deg, I 18
- hkl 1 -2 2, 29.6 deg, I 48
- hkl 2 -1 0, 31.0 deg, I 36
- hkl 0 2 1, 33.7 deg, I 12
- hkl 2 -3 0, 43.0 deg, I 26
- hkl 2 0 -3, 43.8 deg, I 21
- hkl 2 1 1, 46.5 deg, I 21
- hkl 2 -2 4, 51.5 deg, I 14
- hkl 3 0 -1, 52.3 deg, I 14
- hkl 3 -1 2, 53.7 deg, I 19

Crystal structure
```
data_K2LiNd4Nb2O12
_symmetry_space_group_name_H-M 'P 1'
_symmetry_Int_Tables_number 1
_cell_length_a 5.764
_cell_length_b 7.058
_cell_length_c 9.021
_cell_angle_alpha 105.86
_cell_angle_beta 90.02
_cell_angle_gamma 114.01
loop_
_symmetry_equiv_pos_as_xyz
'x,y,z'
loop_
_atom_site_label
_atom_site_type_symbol
_atom_site_fract_x
_atom_site_fract_y
_atom_site_fract_z
K1 K 0.000 0.000 0.000
K2 K 0.232 0.466 0.981
Li1 Li 0.780 0.553 0.497
Nd1 Nd 0.002 0.004 0.559
Nd2 Nd 0.249 0.496 0.412
Nd3 Nd 0.529 0.058 0.286
Nd4 Nd 0.690 0.382 0.716
Nb1 Nb 0.447 0.894 0.777
Nb2 Nb 0.777 0.554 0.188
O1 O 0.103 0.698 0.639
O2 O 0.116 0.766 0.326
O3 O 0.329 0.130 0.777
O4 O 0.382 0.247 0.492
O5 O 0.433 0.328 0.202
O6 O 0.436 0.872 0.978
O7 O 0.597 0.698 0.639
O8 O 0.649 0.767 0.326
O9 O 0.793 0.585 0.988
O10 O 0.801 0.130 0.777
O11 O 0.864 0.249 0.492
O12 O 0.895 0.328 0.203
```